Simulated XRD peak list of Ce4TlSe8 for a wavelength of 1.5418 Å, from a cell relaxed with GGA-PBE.
Lines closer than 0.1° are merged.

Atomic structure:
a = 8.5796 Å, b = 8.5796 Å, c = 10.6113 Å
α = 126.62°, β = 126.62°, γ = 60.07°
Fractional coordinates of all 13 atoms:
Ce  0.2350  0.2350  0.9718
Ce  0.2474  0.7526  0.0000
Ce  0.7526  0.2474  0.0000
Ce  0.7650  0.7650  0.0282
Tl  0.5000  0.5000  0.5000
Se  0.0208  0.0208  0.2021
Se  0.0263  0.4994  0.1942
Se  0.4985  0.4985  0.8175
Se  0.4994  0.0263  0.1942
Se  0.5006  0.9737  0.8058
Se  0.5015  0.5015  0.1825
Se  0.9737  0.5006  0.8058
Se  0.9792  0.9792  0.7979

Peak list (8 most intense, 10° ≤ 2θ ≤ 90°, sorted by position)
| two_theta | intensity |
| --- | --- |
| 11.5 | 100 |
| 13.2 | 30 |
| 23.9 | 31 |
| 26.5 | 30 |
| 26.7 | 50 |
| 33.3 | 42 |
| 33.7 | 82 |
| 42.1 | 70 |

Simulated XRD peak list of YNbGa4 for a wavelength of 1.5418 Å, from a cell relaxed with GGA-PBE.
Lines closer than 0.1° are merged.

Atomic structure:
a = 5.3119 Å, b = 5.3119 Å, c = 5.3119 Å
α = 60.00°, β = 60.00°, γ = 60.00°
Fractional coordinates of all 6 atoms:
Y  0.0000  0.0000  0.0000
Nb  0.2500  0.2500  0.2500
Ga  0.1266  0.6245  0.6245
Ga  0.6245  0.1266  0.6245
Ga  0.6245  0.6245  0.1266
Ga  0.6245  0.6245  0.6245

Peak list (8 most intense, 10° ≤ 2θ ≤ 90°, sorted by position)
| two_theta | intensity |
| --- | --- |
| 33.7 | 35 |
| 39.8 | 100 |
| 41.6 | 33 |
| 60.4 | 13 |
| 64.5 | 31 |
| 71.0 | 25 |
| 84.6 | 11 |
| 85.8 | 11 |

Simulated XRD peak list of Mn2TlRu for a wavelength of 1.5418 Å, from a cell relaxed with GGA-PBE.
Lines closer than 0.1° are merged.

Atomic structure:
a = 4.0755 Å, b = 4.0755 Å, c = 7.7564 Å
α = 90.00°, β = 90.00°, γ = 90.00°
Fractional coordinates of all 8 atoms:
Mn  0.0000  0.0000  0.0000
Mn  0.0000  0.5000  0.2500
Mn  0.5000  0.0000  0.7500
Mn  0.5000  0.5000  0.5000
Tl  0.0000  0.5000  0.7500
Tl  0.5000  0.0000  0.2500
Ru  0.0000  0.0000  0.5000
Ru  0.5000  0.5000  0.0000

Peak list (8 most intense, 10° ≤ 2θ ≤ 90°, sorted by position)
| two_theta | intensity |
| --- | --- |
| 24.7 | 42 |
| 38.9 | 100 |
| 41.4 | 11 |
| 44.5 | 34 |
| 46.9 | 15 |
| 51.5 | 13 |
| 66.6 | 20 |
| 78.2 | 25 |